[1]
Structure and theoretical powder diffractogram of La2FeTeOs (the PBE geometry in Alexandria; Cu Kα, 1.54184 Å).
Peak positions follow from Bragg's law for the DFT cell and can differ from measured ones.

Main lines, in order of falling intensity (10 to 90 degrees two-theta):
2theta	I_rel
31.6	100
25.2	54
51.7	50
29.8	42
45.4	37
40.9	31

```
data_La2FeTeOs
_symmetry_space_group_name_H-M 'P 1'
_symmetry_Int_Tables_number 1
_symmetry_space_group_name_Hall 'P 1'
_cell_length_a 5.6542
_cell_length_b 5.6542
_cell_length_c 4.5289
_cell_angle_alpha 90.00
_cell_angle_beta 90.00
_cell_angle_gamma 90.00
loop_
_atom_site_label
_atom_site_fract_x
_atom_site_fract_y
_atom_site_fract_z
La1 0.0000 0.5000 0.0000
La2 0.5000 0.0000 0.0000
Fe1 0.0000 0.0000 0.5000
Te1 0.5000 0.5000 0.5000
Os1 0.0000 0.0000 0.0000
```

---

[2]
Structure and theoretical powder diffractogram of La2Fe2P (the PBE geometry in Alexandria; Cu Kα, 1.54184 Å).
Peak positions follow from Bragg's law for the DFT cell and can differ from measured ones.

Main lines, in order of falling intensity (10 to 90 degrees two-theta):
2theta	I_rel
36.7	100
25.4	100
41.7	76
37.1	54
64.5	38
51.0	37

```
data_La2Fe2P
_symmetry_space_group_name_H-M 'P 1'
_symmetry_Int_Tables_number 1
_symmetry_space_group_name_Hall 'P 1'
_cell_length_a 3.5795
_cell_length_b 3.5795
_cell_length_c 16.7991
_cell_angle_alpha 90.00
_cell_angle_beta 90.00
_cell_angle_gamma 90.00
loop_
_atom_site_label
_atom_site_fract_x
_atom_site_fract_y
_atom_site_fract_z
La1 0.0000 0.0000 0.1017
La2 0.0000 0.0000 0.8983
La3 0.5000 0.5000 0.3983
La4 0.5000 0.5000 0.6017
Fe1 0.0000 0.5000 0.2500
Fe2 0.0000 0.5000 0.7500
Fe3 0.5000 0.0000 0.2500
Fe4 0.5000 0.0000 0.7500
P1 0.0000 0.0000 0.5000
P2 0.5000 0.5000 0.0000
```

---

[3]
Structure and theoretical powder diffractogram of La6FePb2 (the PBE geometry in Alexandria; Cu Kα, 1.54184 Å).
Peak positions follow from Bragg's law for the DFT cell and can differ from measured ones.

Main lines, in order of falling intensity (10 to 90 degrees two-theta):
2theta	I_rel
29.6	100
34.4	62
49.4	44
58.7	44
80.1	18
61.5	15

```
data_La6FePb2
_symmetry_space_group_name_H-M 'P 1'
_symmetry_Int_Tables_number 1
_symmetry_space_group_name_Hall 'P 1'
_cell_length_a 7.3840
_cell_length_b 7.3840
_cell_length_c 7.3840
_cell_angle_alpha 120.04
_cell_angle_beta 120.04
_cell_angle_gamma 89.92
loop_
_atom_site_label
_atom_site_fract_x
_atom_site_fract_y
_atom_site_fract_z
La1 0.2465 0.2465 0.0000
La2 0.2536 0.2536 0.5071
La3 0.2536 0.7464 0.0000
La4 0.7464 0.2536 0.0000
La5 0.7464 0.7464 0.4929
La6 0.7535 0.7535 0.0000
Fe1 0.0000 0.0000 0.0000
Pb1 0.2500 0.7500 0.5000
Pb2 0.7500 0.2500 0.5000
```

---

[4]
Structure and theoretical powder diffractogram of LaFe2Pt (the PBE geometry in Alexandria; Cu Kα, 1.54184 Å).
Peak positions follow from Bragg's law for the DFT cell and can differ from measured ones.

Main lines, in order of falling intensity (10 to 90 degrees two-theta):
2theta	I_rel
42.3	100
24.7	85
38.1	72
33.6	71
56.1	49
17.4	39

```
data_LaFe2Pt
_symmetry_space_group_name_H-M 'P 1'
_symmetry_Int_Tables_number 1
_symmetry_space_group_name_Hall 'P 1'
_cell_length_a 4.2775
_cell_length_b 4.2775
_cell_length_c 15.3301
_cell_angle_alpha 90.00
_cell_angle_beta 90.00
_cell_angle_gamma 120.00
loop_
_atom_site_label
_atom_site_fract_x
_atom_site_fract_y
_atom_site_fract_z
La1 0.0000 0.0000 0.0000
La2 0.3333 0.6667 0.6667
La3 0.6667 0.3333 0.3333
Fe1 0.0000 0.0000 0.1947
Fe2 0.0000 0.0000 0.4966
Fe3 0.3333 0.6667 0.1633
Fe4 0.3333 0.6667 0.8614
Fe5 0.6667 0.3333 0.5280
Fe6 0.6667 0.3333 0.8300
Pt1 0.0000 0.0000 0.8045
Pt2 0.3333 0.6667 0.4711
Pt3 0.6667 0.3333 0.1378
```

---

[5]
Structure and theoretical powder diffractogram of La3Fe2S7 (the PBE geometry in Alexandria; Cu Kα, 1.54184 Å).
Peak positions follow from Bragg's law for the DFT cell and can differ from measured ones.

Main lines, in order of falling intensity (10 to 90 degrees two-theta):
2theta	I_rel
25.1	100
39.5	42
36.7	41
33.8	39
26.4	38
34.8	35

```
data_La3Fe2S7
_symmetry_space_group_name_H-M 'P 1'
_symmetry_Int_Tables_number 1
_symmetry_space_group_name_Hall 'P 1'
_cell_length_a 10.3156
_cell_length_b 10.3156
_cell_length_c 5.8547
_cell_angle_alpha 90.00
_cell_angle_beta 90.00
_cell_angle_gamma 120.00
loop_
_atom_site_label
_atom_site_fract_x
_atom_site_fract_y
_atom_site_fract_z
La1 0.1372 0.7623 0.0000
La2 0.2377 0.3749 0.0000
La3 0.3749 0.1372 0.5000
La4 0.6251 0.8628 0.0000
La5 0.7623 0.6251 0.5000
La6 0.8628 0.2377 0.5000
Fe1 0.0000 0.0000 0.2375
Fe2 0.0000 0.0000 0.7375
Fe3 0.3333 0.6667 0.5881
Fe4 0.6667 0.3333 0.0881
S1 0.0841 0.8539 0.4786
S2 0.1010 0.5155 0.7260
S3 0.1461 0.2301 0.4786
S4 0.2301 0.0841 0.9786
S5 0.3333 0.6667 0.2091
S6 0.4145 0.8990 0.7260
S7 0.4845 0.5855 0.7260
S8 0.5155 0.4145 0.2260
S9 0.5855 0.1010 0.2260
S10 0.6667 0.3333 0.7091
S11 0.7699 0.9159 0.4786
S12 0.8539 0.7699 0.9786
S13 0.8990 0.4845 0.2260
S14 0.9159 0.1461 0.9786
```

---

[6]
Structure and theoretical powder diffractogram of La3FeSiS7 (the PBE geometry in Alexandria; Cu Kα, 1.54184 Å).
Peak positions follow from Bragg's law for the DFT cell and can differ from measured ones.

Main lines, in order of falling intensity (10 to 90 degrees two-theta):
2theta	I_rel
25.2	100
36.0	90
39.4	60
23.2	46
37.4	43
34.5	35

```
data_La3FeSiS7
_symmetry_space_group_name_H-M 'P 1'
_symmetry_Int_Tables_number 1
_symmetry_space_group_name_Hall 'P 1'
_cell_length_a 10.3961
_cell_length_b 10.3961
_cell_length_c 5.6976
_cell_angle_alpha 90.00
_cell_angle_beta 90.00
_cell_angle_gamma 120.00
loop_
_atom_site_label
_atom_site_fract_x
_atom_site_fract_y
_atom_site_fract_z
La1 0.1225 0.3559 0.0000
La2 0.2334 0.8775 0.0000
La3 0.3559 0.2334 0.5000
La4 0.6441 0.7666 0.0000
La5 0.7666 0.1225 0.5000
La6 0.8775 0.6441 0.5000
Fe1 0.0000 0.0000 0.2481
Fe2 0.0000 0.0000 0.7481
Si1 0.3333 0.6667 0.5845
Si2 0.6667 0.3333 0.0845
S1 0.0807 0.2362 0.4856
S2 0.1154 0.5915 0.7235
S3 0.1555 0.9193 0.4856
S4 0.2362 0.1555 0.9856
S5 0.3333 0.6667 0.2160
S6 0.4085 0.5239 0.7235
S7 0.4761 0.8846 0.7235
S8 0.5239 0.1154 0.2235
S9 0.5915 0.4761 0.2235
S10 0.6667 0.3333 0.7160
S11 0.7638 0.8445 0.4856
S12 0.8445 0.0807 0.9856
S13 0.8846 0.4085 0.2235
S14 0.9193 0.7638 0.9856
```

---

[7]
Structure and theoretical powder diffractogram of LaScFe (the PBE geometry in Alexandria; Cu Kα, 1.54184 Å).
Peak positions follow from Bragg's law for the DFT cell and can differ from measured ones.

Main lines, in order of falling intensity (10 to 90 degrees two-theta):
2theta	I_rel
30.0	100
41.2	75
26.5	61
28.6	58
33.0	55
30.3	53

```
data_LaScFe
_symmetry_space_group_name_H-M 'P 1'
_symmetry_Int_Tables_number 1
_symmetry_space_group_name_Hall 'P 1'
_cell_length_a 7.0029
_cell_length_b 7.0029
_cell_length_c 6.9100
_cell_angle_alpha 90.00
_cell_angle_beta 90.00
_cell_angle_gamma 122.66
loop_
_atom_site_label
_atom_site_fract_x
_atom_site_fract_y
_atom_site_fract_z
La1 0.1931 0.8069 0.8794
La2 0.3069 0.6931 0.3794
La3 0.6931 0.3069 0.6206
La4 0.8069 0.1931 0.1206
Sc1 0.2127 0.2873 0.7500
Sc2 0.2873 0.2127 0.2500
Sc3 0.7127 0.7873 0.7500
Sc4 0.7873 0.7127 0.2500
Fe1 0.0891 0.9109 0.5395
Fe2 0.4109 0.5891 0.0395
Fe3 0.5891 0.4109 0.9605
Fe4 0.9109 0.0891 0.4605
```

---

[8]
Structure and theoretical powder diffractogram of LaFe8Si5 (the PBE geometry in Alexandria; Cu Kα, 1.54184 Å).
Peak positions follow from Bragg's law for the DFT cell and can differ from measured ones.

Main lines, in order of falling intensity (10 to 90 degrees two-theta):
2theta	I_rel
39.3	100
47.8	67
35.7	50
35.1	44
48.1	37
47.1	29

```
data_LaFe8Si5
_symmetry_space_group_name_H-M 'P 1'
_symmetry_Int_Tables_number 1
_symmetry_space_group_name_Hall 'P 1'
_cell_length_a 8.0194
_cell_length_b 8.0194
_cell_length_c 8.0194
_cell_angle_alpha 120.98
_cell_angle_beta 120.98
_cell_angle_gamma 88.31
loop_
_atom_site_label
_atom_site_fract_x
_atom_site_fract_y
_atom_site_fract_z
La1 0.2500 0.2500 0.0000
La2 0.7500 0.7500 0.0000
Fe1 0.0600 0.7975 0.8575
Fe2 0.0615 0.5615 0.2738
Fe3 0.2025 0.0600 0.2624
Fe4 0.2122 0.9385 0.5000
Fe5 0.2878 0.7878 0.7262
Fe6 0.2975 0.5600 0.8575
Fe7 0.4385 0.7122 0.5000
Fe8 0.4400 0.2975 0.7376
Fe9 0.5600 0.7025 0.2624
Fe10 0.5615 0.2878 0.5000
Fe11 0.7025 0.4400 0.1425
Fe12 0.7122 0.2122 0.2738
Fe13 0.7878 0.0615 0.5000
Fe14 0.7975 0.9400 0.7376
Fe15 0.9385 0.4385 0.7262
Fe16 0.9400 0.2025 0.1425
Si1 0.0000 0.5000 0.5000
Si2 0.0542 0.1892 0.5000
Si3 0.1892 0.6892 0.1349
Si4 0.3108 0.4458 0.5000
Si5 0.4458 0.9458 0.1349
Si6 0.5000 0.0000 0.5000
Si7 0.5542 0.0542 0.8651
Si8 0.6892 0.5542 0.5000
Si9 0.8108 0.3108 0.8651
Si10 0.9458 0.8108 0.5000
```

---

[9]
Structure and theoretical powder diffractogram of La8FeSn2 (the PBE geometry in Alexandria; Cu Kα, 1.54184 Å).
Peak positions follow from Bragg's law for the DFT cell and can differ from measured ones.

Main lines, in order of falling intensity (10 to 90 degrees two-theta):
2theta	I_rel
30.1	100
31.4	99
34.4	83
33.9	60
29.1	47
27.7	38

```
data_La8FeSn2
_symmetry_space_group_name_H-M 'P 1'
_symmetry_Int_Tables_number 1
_symmetry_space_group_name_Hall 'P 1'
_cell_length_a 9.7073
_cell_length_b 9.7073
_cell_length_c 6.8797
_cell_angle_alpha 109.75
_cell_angle_beta 109.75
_cell_angle_gamma 34.10
loop_
_atom_site_label
_atom_site_fract_x
_atom_site_fract_y
_atom_site_fract_z
La1 0.0010 0.0010 0.2184
La2 0.2160 0.2160 0.1802
La3 0.3596 0.3596 0.6378
La4 0.4125 0.4125 0.2058
La5 0.5875 0.5875 0.7942
La6 0.6404 0.6404 0.3622
La7 0.7840 0.7840 0.8198
La8 0.9990 0.9990 0.7816
Fe1 0.5000 0.5000 0.0000
Sn1 0.1720 0.1720 0.6549
Sn2 0.8280 0.8280 0.3451
```

---

[10]
Structure and theoretical powder diffractogram of La2FeSn4 (the PBE geometry in Alexandria; Cu Kα, 1.54184 Å).
Peak positions follow from Bragg's law for the DFT cell and can differ from measured ones.

Main lines, in order of falling intensity (10 to 90 degrees two-theta):
2theta	I_rel
31.3	100
55.7	20
38.4	18
38.7	18
36.9	11
65.0	11

```
data_La2FeSn4
_symmetry_space_group_name_H-M 'P 1'
_symmetry_Int_Tables_number 1
_symmetry_space_group_name_Hall 'P 1'
_cell_length_a 4.6516
_cell_length_b 4.6878
_cell_length_c 17.1588
_cell_angle_alpha 90.00
_cell_angle_beta 90.00
_cell_angle_gamma 90.00
loop_
_atom_site_label
_atom_site_fract_x
_atom_site_fract_y
_atom_site_fract_z
La1 0.0000 0.0000 0.0000
La2 0.0000 0.5000 0.5000
La3 0.5000 0.0000 0.2059
La4 0.5000 0.5000 0.7059
Fe1 0.5000 0.0000 0.4053
Fe2 0.5000 0.5000 0.9053
Sn1 0.0000 0.0000 0.3478
Sn2 0.0000 0.0000 0.6682
Sn3 0.0000 0.5000 0.1682
Sn4 0.0000 0.5000 0.8478
Sn5 0.5000 0.0000 0.5535
Sn6 0.5000 0.0000 0.8455
Sn7 0.5000 0.5000 0.0535
Sn8 0.5000 0.5000 0.3455
```

---

[11]
Structure and theoretical powder diffractogram of LaVFeSn (the PBE geometry in Alexandria; Cu Kα, 1.54184 Å).
Peak positions follow from Bragg's law for the DFT cell and can differ from measured ones.

Main lines, in order of falling intensity (10 to 90 degrees two-theta):
2theta	I_rel
36.2	100
30.0	33
36.9	33
40.3	24
19.8	23
30.8	23

```
data_LaVFeSn
_symmetry_space_group_name_H-M 'P 1'
_symmetry_Int_Tables_number 1
_symmetry_space_group_name_Hall 'P 1'
_cell_length_a 3.4748
_cell_length_b 4.4761
_cell_length_c 5.8094
_cell_angle_alpha 90.00
_cell_angle_beta 90.00
_cell_angle_gamma 90.00
loop_
_atom_site_label
_atom_site_fract_x
_atom_site_fract_y
_atom_site_fract_z
La1 0.0000 0.0000 0.0000
V1 0.0000 0.5000 0.4642
Fe1 0.5000 0.5000 0.2208
Sn1 0.5000 0.0000 0.4966
```

---

[12]
Structure and theoretical powder diffractogram of LaFeTe2 (the PBE geometry in Alexandria; Cu Kα, 1.54184 Å).
Peak positions follow from Bragg's law for the DFT cell and can differ from measured ones.

Main lines, in order of falling intensity (10 to 90 degrees two-theta):
2theta	I_rel
31.3	100
36.6	55
29.4	48
25.2	34
26.5	31
46.0	23

```
data_LaFeTe2
_symmetry_space_group_name_H-M 'P 1'
_symmetry_Int_Tables_number 1
_symmetry_space_group_name_Hall 'P 1'
_cell_length_a 13.4713
_cell_length_b 4.1268
_cell_length_c 4.1529
_cell_angle_alpha 90.00
_cell_angle_beta 90.03
_cell_angle_gamma 90.00
loop_
_atom_site_label
_atom_site_fract_x
_atom_site_fract_y
_atom_site_fract_z
La1 0.0000 0.0000 0.0000
La2 0.5000 0.5000 0.0000
Fe1 0.2041 0.0000 0.5013
Fe2 0.7041 0.5000 0.5013
Te1 0.1843 0.5000 0.9998
Te2 0.4037 0.0000 0.4998
Te3 0.6843 0.0000 0.9998
Te4 0.9037 0.5000 0.4998
```

---

[13]
Structure and theoretical powder diffractogram of LaTmFe10 (the PBE geometry in Alexandria; Cu Kα, 1.54184 Å).
Peak positions follow from Bragg's law for the DFT cell and can differ from measured ones.

Main lines, in order of falling intensity (10 to 90 degrees two-theta):
2theta	I_rel
42.4	100
30.4	53
41.2	36
35.5	34
45.8	24
68.5	22

```
data_LaTmFe10
_symmetry_space_group_name_H-M 'P 1'
_symmetry_Int_Tables_number 1
_symmetry_space_group_name_Hall 'P 1'
_cell_length_a 3.9600
_cell_length_b 5.0549
_cell_length_c 8.7594
_cell_angle_alpha 90.00
_cell_angle_beta 90.00
_cell_angle_gamma 90.00
loop_
_atom_site_label
_atom_site_fract_x
_atom_site_fract_y
_atom_site_fract_z
La1 0.0000 0.0000 0.0000
Tm1 0.0000 0.5000 0.5000
Fe1 0.0000 0.0000 0.3386
Fe2 0.0000 0.0000 0.6614
Fe3 0.0000 0.5000 0.1728
Fe4 0.0000 0.5000 0.8272
Fe5 0.5000 0.0000 0.5000
Fe6 0.5000 0.2545 0.2591
Fe7 0.5000 0.2545 0.7409
Fe8 0.5000 0.5000 0.0000
Fe9 0.5000 0.7455 0.2591
Fe10 0.5000 0.7455 0.7409
```